Structure and calculated powder diffractogram of ZnSnAsP (a structure optimized by DFT (GGA-PBE); Cu Kα).
Neutral-atom scattering factors, no anomalous dispersion.

Structural model:
Unit cell a=5.813 b=5.813 c=7.126 alpha=114.06 beta=114.06 gamma=90.01
Fractional coordinates of all 8 atoms:
Zn1 0.134 0.866 0.500
Zn2 0.866 0.134 0.000
Sn1 0.394 0.633 0.000
Sn2 0.633 0.394 0.500
As1 0.008 0.234 0.750
As2 0.234 0.008 0.250
P1 0.508 0.780 0.750
P2 0.780 0.508 0.250

Most intense lines, 2θ from 5° to 70°, low angle first:
2theta	I (rel.)
17.05	72
26.55	1000
27.64	64
30.75	77
35.38	78
41.80	45
44.04	688
47.57	28
52.16	450
62.37	28
63.97	39
64.07	70



Structure and calculated powder diffractogram of Sr2TmAsP (a structure optimized by DFT (GGA-PBE); Cu Kα).
Neutral-atom scattering factors, no anomalous dispersion.

Structural model:
Unit cell a=8.739 b=8.739 c=8.217 alpha=90.00 beta=90.00 gamma=150.91
Fractional coordinates of all 10 atoms:
Sr1 0.057 0.943 0.500
Sr2 0.208 0.792 0.853
Sr3 0.792 0.208 0.353
Sr4 0.943 0.057 0.000
Tm1 0.405 0.595 0.642
Tm2 0.595 0.405 0.142
As1 0.446 0.554 0.306
As2 0.554 0.446 0.806
P1 0.178 0.822 0.223
P2 0.822 0.178 0.723

Most intense lines, 2θ from 5° to 70°, low angle first:
2theta	I (rel.)
10.46	340
15.03	436
23.59	297
27.95	1000
30.28	669
33.44	377
33.85	255
34.42	436
39.17	253
41.13	305
42.06	234
44.20	235



Structure and calculated powder diffractogram of Sr2ZnAsP (a structure optimized by DFT (GGA-PBE); Cu Kα).
Neutral-atom scattering factors, no anomalous dispersion.

Structural model:
Unit cell a=8.537 b=8.537 c=7.439 alpha=90.00 beta=90.00 gamma=150.92
Fractional coordinates of all 10 atoms:
Sr1 0.032 0.968 0.500
Sr2 0.202 0.798 0.177
Sr3 0.798 0.202 0.677
Sr4 0.968 0.032 0.000
Zn1 0.407 0.593 0.359
Zn2 0.593 0.407 0.859
As1 0.167 0.833 0.772
As2 0.833 0.167 0.272
P1 0.440 0.560 0.703
P2 0.560 0.440 0.203

Most intense lines, 2θ from 5° to 70°, low angle first:
2theta	I (rel.)
16.03	399
26.29	781
28.99	711
32.35	469
34.26	877
35.88	1000
36.39	304
37.88	351
42.17	547
42.48	241
45.55	252
58.08	265



Structure and calculated powder diffractogram of Zn2Tc2AsP3 (a structure optimized by DFT (GGA-PBE); Cu Kα).
Neutral-atom scattering factors, no anomalous dispersion.

Structural model:
Unit cell a=6.525 b=6.525 c=5.495 alpha=113.12 beta=113.12 gamma=50.80
Fractional coordinates of all 8 atoms:
Zn1 0.131 0.131 0.365
Zn2 0.869 0.869 0.635
Tc1 0.351 0.391 0.116
Tc2 0.609 0.649 0.884
As1 0.716 0.284 0.500
P1 0.256 0.744 0.000
P2 0.474 0.023 0.771
P3 0.977 0.526 0.229

Most intense lines, 2θ from 5° to 70°, low angle first:
2theta	I (rel.)
17.92	89
27.96	957
28.64	1000
46.32	422
46.77	211
47.20	402
48.53	182
54.56	168
54.98	262
56.18	120
56.53	138
57.71	140



Structure and calculated powder diffractogram of Zn2AsP3W2 (a structure optimized by DFT (GGA-PBE); Cu Kα).
Neutral-atom scattering factors, no anomalous dispersion.

Structural model:
Unit cell a=6.211 b=6.211 c=6.317 alpha=115.70 beta=115.70 gamma=44.99
Fractional coordinates of all 8 atoms:
Zn1 0.104 0.104 0.302
Zn2 0.896 0.896 0.698
As1 0.679 0.321 0.500
P1 0.345 0.655 0.000
P2 0.427 0.023 0.691
P3 0.977 0.573 0.309
W1 0.345 0.317 0.083
W2 0.683 0.655 0.917

Most intense lines, 2θ from 5° to 70°, low angle first:
2theta	I (rel.)
15.89	336
17.26	411
28.38	209
28.61	744
30.20	1000
32.52	191
37.86	175
41.29	167
41.95	424
47.98	345
49.37	169
52.41	171



Structure and calculated powder diffractogram of Zn2As3PW2 (a structure optimized by DFT (GGA-PBE); Cu Kα).
Neutral-atom scattering factors, no anomalous dispersion.

Structural model:
Unit cell a=6.390 b=6.390 c=5.519 alpha=108.13 beta=108.13 gamma=55.66
Fractional coordinates of all 8 atoms:
Zn1 0.135 0.135 0.377
Zn2 0.865 0.865 0.623
As1 0.285 0.715 0.500
As2 0.529 0.005 0.229
As3 0.995 0.471 0.771
P1 0.805 0.195 0.000
W1 0.388 0.417 0.090
W2 0.583 0.612 0.910

Most intense lines, 2θ from 5° to 70°, low angle first:
2theta	I (rel.)
17.06	463
17.16	161
26.34	1000
29.26	780
29.96	112
44.10	274
45.01	343
45.85	349
51.03	283
53.05	159
54.55	143
62.25	115



What did the fourth record say?
Structure and calculated powder diffractogram of Zn2Tc2AsP3 (a structure optimized by DFT (GGA-PBE); Cu Kα).
Neutral-atom scattering factors, no anomalous dispersion.

Structural model:
Unit cell a=6.525 b=6.525 c=5.495 alpha=113.12 beta=113.12 gamma=50.80
Fractional coordinates of all 8 atoms:
Zn1 0.131 0.131 0.365
Zn2 0.869 0.869 0.635
Tc1 0.351 0.391 0.116
Tc2 0.609 0.649 0.884
As1 0.716 0.284 0.500
P1 0.256 0.744 0.000
P2 0.474 0.023 0.771
P3 0.977 0.526 0.229

Most intense lines, 2θ from 5° to 70°, low angle first:
2theta	I (rel.)
17.92	89
27.96	957
28.64	1000
46.32	422
46.77	211
47.20	402
48.53	182
54.56	168
54.98	262
56.18	120
56.53	138
57.71	140



> Number 2 is which compound?

Sr2TmAsP